1.
For TlTe4Pd2, a GGA-PBE-relaxed structure gives the theoretical PXRD pattern in this record (CuKα).

Cell and atoms:
abc: 8.3976 8.3976 8.4461
angles: 119.79 119.79 90.02
Sites, in units of the cell vectors:
Tl (0.1247, 0.8753, 0.7500)
Tl (0.8753, 0.1247, 0.2500)
Te (0.2678, 0.7286, 0.4577)
Te (0.2709, 0.3104, 0.0430)
Te (0.2714, 0.7322, 0.0423)
Te (0.3104, 0.2709, 0.5430)
Te (0.6896, 0.7291, 0.4570)
Te (0.7286, 0.2678, 0.9577)
Te (0.7291, 0.6896, 0.9570)
Te (0.7322, 0.2714, 0.5423)
Pd (0.0000, 0.5000, 0.0000)
Pd (0.5000, 0.0000, 0.5000)
Pd (0.5000, 0.5000, 0.0000)
Pd (0.5000, 0.5000, 0.5000)

Main lines, by intensity (15 to 90 degrees two-theta):
d (Å)	two_theta	intensity
2.112	42.82	100
2.287	39.41	79
3.585	24.84	65
4.224	21.03	53
2.099	43.09	50
2.969	30.10	44
2.311	38.98	42
3.442	25.89	33
3.615	24.62	30
4.199	21.16	26

2.
For BC3, a GGA-PBE-relaxed structure gives the theoretical PXRD pattern in this record (CuKα).

Cell and atoms:
abc: 3.7416 2.5608 7.8074
angles: 90.00 90.16 90.00
Sites, in units of the cell vectors:
B (0.0000, 0.0000, 0.0000)
B (0.2111, 0.5000, 0.6463)
B (0.4737, 0.5000, 0.1589)
C (0.2143, 0.5000, 0.3302)
C (0.2390, 0.5000, 0.9760)
C (0.4792, 0.5000, 0.4829)
C (0.4986, 0.5000, 0.8332)
C (0.7033, 0.0000, 0.8053)
C (0.7149, 0.0000, 0.4865)
C (0.7508, 0.0000, 0.1629)
C (0.9461, 0.0000, 0.6531)
C (0.9778, 0.0000, 0.3252)

Main lines, by intensity (15 to 90 degrees two-theta):
d (Å)	two_theta	intensity
2.113	42.79	100
2.134	42.36	61
2.139	42.24	52
1.308	72.24	28
1.305	72.41	26
1.098	89.17	17
1.280	74.04	13
1.301	72.66	13
1.109	88.10	10
1.121	86.87	9

3.
For Sr2Ca12Ac, a GGA-PBE-relaxed structure gives the theoretical PXRD pattern in this record (CuKα).

Cell and atoms:
abc: 7.1204 7.1204 28.2420
angles: 90.00 90.00 90.00
Sites, in units of the cell vectors:
Sr (0.2500, 0.7500, 0.2168)
Sr (0.2500, 0.7500, 0.7832)
Sr (0.7500, 0.2500, 0.2168)
Sr (0.7500, 0.2500, 0.7832)
Ca (0.0508, 0.5508, 0.3858)
Ca (0.0508, 0.9492, 0.6142)
Ca (0.0743, 0.5743, 0.9412)
Ca (0.0743, 0.9257, 0.0588)
Ca (0.2500, 0.2500, 0.1542)
Ca (0.2500, 0.2500, 0.2857)
Ca (0.2500, 0.2500, 0.7143)
Ca (0.2500, 0.2500, 0.8458)
Ca (0.4257, 0.5743, 0.0588)
Ca (0.4257, 0.9257, 0.9412)
Ca (0.4492, 0.5508, 0.6142)
Ca (0.4492, 0.9492, 0.3858)
Ca (0.5508, 0.0508, 0.6142)
Ca (0.5508, 0.4492, 0.3858)
Ca (0.5743, 0.0743, 0.0588)
Ca (0.5743, 0.4257, 0.9412)
Ca (0.7500, 0.7500, 0.1542)
Ca (0.7500, 0.7500, 0.2857)
Ca (0.7500, 0.7500, 0.7143)
Ca (0.7500, 0.7500, 0.8458)
Ca (0.9257, 0.0743, 0.9412)
Ca (0.9257, 0.4257, 0.0588)
Ca (0.9492, 0.0508, 0.3858)
Ca (0.9492, 0.4492, 0.6142)
Ac (0.2500, 0.7500, 0.5000)
Ac (0.7500, 0.2500, 0.5000)

Main lines, by intensity (15 to 90 degrees two-theta):
d (Å)	two_theta	intensity
3.147	28.36	100
3.330	26.77	62
4.099	21.68	51
3.179	28.07	50
4.440	20.00	39
2.517	35.66	35
1.966	46.17	28
5.035	17.62	27
4.957	17.90	26
4.742	18.71	25

4.
For K2Np2ZnSe6, a GGA-PBE-relaxed structure gives the theoretical PXRD pattern in this record (CuKα).

Cell and atoms:
abc: 7.2495 7.2495 8.1884
angles: 97.63 97.63 122.85
Sites, in units of the cell vectors:
K (0.1590, 0.8410, 0.0000)
K (0.8410, 0.1590, 0.0000)
Np (0.3335, 0.6665, 0.5000)
Np (0.6665, 0.3335, 0.5000)
Zn (0.0000, 0.0000, 0.5000)
Se (0.0614, 0.4143, 0.7020)
Se (0.2403, 0.2403, 0.3227)
Se (0.4143, 0.0614, 0.7020)
Se (0.5857, 0.9386, 0.2980)
Se (0.7597, 0.7597, 0.6773)
Se (0.9386, 0.5857, 0.2980)

Main lines, by intensity (15 to 90 degrees two-theta):
d (Å)	two_theta	intensity
3.089	28.90	100
2.983	29.95	40
2.471	36.36	32
2.030	44.64	30
2.284	39.45	28
3.580	24.87	24
2.122	42.60	19
1.729	52.95	18
2.252	40.03	18
1.844	49.44	16

5.
For Be2Ge5Pd12, a GGA-PBE-relaxed structure gives the theoretical PXRD pattern in this record (CuKα).

Cell and atoms:
abc: 7.9942 7.9942 7.8561
angles: 115.04 115.04 42.84
Sites, in units of the cell vectors:
Be (0.1975, 0.8025, 0.0000)
Be (0.8025, 0.1975, 0.0000)
Ge (0.1778, 0.1778, 0.3163)
Ge (0.1861, 0.1861, 0.8187)
Ge (0.5000, 0.5000, 0.5000)
Ge (0.8139, 0.8139, 0.1813)
Ge (0.8222, 0.8222, 0.6837)
Pd (0.0037, 0.0037, 0.7345)
Pd (0.0919, 0.5861, 0.9539)
Pd (0.0985, 0.5786, 0.4426)
Pd (0.4139, 0.9081, 0.0461)
Pd (0.4214, 0.9015, 0.5574)
Pd (0.4646, 0.4646, 0.7927)
Pd (0.5354, 0.5354, 0.2073)
Pd (0.5786, 0.0985, 0.4426)
Pd (0.5861, 0.0919, 0.9539)
Pd (0.9015, 0.4214, 0.5574)
Pd (0.9081, 0.4139, 0.0461)
Pd (0.9963, 0.9963, 0.2655)

Main lines, by intensity (15 to 90 degrees two-theta):
d (Å)	two_theta	intensity
2.242	40.23	100
2.210	40.84	68
2.191	41.21	59
3.256	27.39	52
2.174	41.54	51
2.672	33.54	49
1.958	46.38	41
2.639	33.97	40
1.869	48.72	39
3.209	27.80	37

6.
For YMg2Cr3S8, a GGA-PBE-relaxed structure gives the theoretical PXRD pattern in this record (CuKα).

Cell and atoms:
abc: 7.4189 7.4189 7.4189
angles: 59.42 59.42 59.42
Sites, in units of the cell vectors:
Y (0.0000, 0.0000, 0.0000)
Mg (0.3760, 0.3760, 0.3760)
Mg (0.6240, 0.6240, 0.6240)
Cr (0.0000, 0.0000, 0.5000)
Cr (0.0000, 0.5000, 0.0000)
Cr (0.5000, 0.0000, 0.0000)
S (0.2201, 0.7448, 0.7448)
S (0.2367, 0.2367, 0.2367)
S (0.2552, 0.2552, 0.7799)
S (0.2552, 0.7799, 0.2552)
S (0.7448, 0.2201, 0.7448)
S (0.7448, 0.7448, 0.2201)
S (0.7633, 0.7633, 0.7633)
S (0.7799, 0.2552, 0.2552)

Main lines, by intensity (15 to 90 degrees two-theta):
d (Å)	two_theta	intensity
2.611	34.34	100
3.146	28.37	61
1.839	49.58	50
1.855	49.13	43
3.167	28.18	24
2.010	45.12	19
2.004	45.24	15
1.503	61.70	15
2.017	44.93	14
1.164	82.97	13

7.
For La2Zr, a GGA-PBE-relaxed structure gives the theoretical PXRD pattern in this record (CuKα).

Cell and atoms:
abc: 8.2425 8.2425 8.2425
angles: 155.86 155.86 34.40
Sites, in units of the cell vectors:
La (0.1529, 0.1529, 0.0000)
La (0.8471, 0.8471, 0.0000)
Zr (0.5000, 0.5000, 0.0000)

Main lines, by intensity (15 to 90 degrees two-theta):
d (Å)	two_theta	intensity
2.882	31.04	100
2.438	36.87	33
1.479	62.82	26
1.786	51.14	21
2.625	34.16	17
1.724	53.14	11
1.441	64.70	10
1.560	59.22	10
1.157	83.59	8
3.937	22.59	6

8.
For TlIn5Ga, a GGA-PBE-relaxed structure gives the theoretical PXRD pattern in this record (CuKα).

Cell and atoms:
abc: 4.6881 4.6881 8.8018
angles: 90.00 90.00 90.00
Sites, in units of the cell vectors:
Tl (0.0000, 0.0000, 0.0000)
In (0.0000, 0.5000, 0.2937)
In (0.0000, 0.5000, 0.7063)
In (0.5000, 0.0000, 0.2937)
In (0.5000, 0.0000, 0.7063)
In (0.5000, 0.5000, 0.0000)
Ga (0.0000, 0.0000, 0.5000)

Main lines, by intensity (15 to 90 degrees two-theta):
d (Å)	two_theta	intensity
2.648	33.85	100
2.344	38.40	42
3.102	28.78	34
1.405	66.56	27
1.832	49.79	20
2.934	30.47	18
1.555	59.45	15
1.657	55.43	14
1.604	57.44	13
1.134	85.66	11

9.
For Cs2Tl10Pb, a GGA-PBE-relaxed structure gives the theoretical PXRD pattern in this record (CuKα).

Cell and atoms:
abc: 11.4174 13.3402 7.3056
angles: 90.00 90.00 90.00
Sites, in units of the cell vectors:
Cs (0.2502, 0.0624, 0.0000)
Cs (0.2498, 0.5624, 0.0000)
Cs (0.7502, 0.4376, 0.0000)
Cs (0.7498, 0.9376, 0.0000)
Tl (0.0430, 0.1196, 0.5000)
Tl (0.0791, 0.3101, 0.2323)
Tl (0.0791, 0.3101, 0.7677)
Tl (0.1761, 0.7008, 0.5000)
Tl (0.2284, 0.9350, 0.5000)
Tl (0.2716, 0.4350, 0.5000)
Tl (0.3239, 0.2008, 0.5000)
Tl (0.4209, 0.8101, 0.2323)
Tl (0.4209, 0.8101, 0.7677)
Tl (0.4570, 0.6196, 0.5000)
Tl (0.5430, 0.3804, 0.5000)
Tl (0.5791, 0.1899, 0.2323)
Tl (0.5791, 0.1899, 0.7677)
Tl (0.6761, 0.7992, 0.5000)
Tl (0.7284, 0.5650, 0.5000)
Tl (0.7716, 0.0650, 0.5000)
Tl (0.8239, 0.2992, 0.5000)
Tl (0.9209, 0.6899, 0.2323)
Tl (0.9209, 0.6899, 0.7677)
Tl (0.9570, 0.8804, 0.5000)
Pb (0.0000, 0.5000, 0.5000)
Pb (0.5000, 0.0000, 0.5000)

Main lines, by intensity (15 to 90 degrees two-theta):
d (Å)	two_theta	intensity
2.932	30.49	100
2.791	32.06	85
2.450	36.68	69
2.998	29.80	67
2.598	34.52	67
2.740	32.68	66
3.012	29.66	59
3.080	28.99	55
3.204	27.85	53
2.689	33.33	43

10.
For CoBiAs, a GGA-PBE-relaxed structure gives the theoretical PXRD pattern in this record (CuKα).

Cell and atoms:
abc: 6.4043 6.2815 6.4244
angles: 90.00 116.11 90.00
Sites, in units of the cell vectors:
Co (0.1993, 0.0184, 0.2015)
Co (0.1993, 0.4816, 0.7015)
Co (0.8007, 0.5184, 0.2985)
Co (0.8007, 0.9816, 0.7985)
Bi (0.3479, 0.6336, 0.1381)
Bi (0.3479, 0.8664, 0.6381)
Bi (0.6521, 0.1336, 0.3619)
Bi (0.6521, 0.3664, 0.8619)
As (0.1440, 0.1489, 0.8398)
As (0.1440, 0.3511, 0.3398)
As (0.8560, 0.6489, 0.6602)
As (0.8560, 0.8511, 0.1602)

Main lines, by intensity (15 to 90 degrees two-theta):
d (Å)	two_theta	intensity
2.721	32.92	100
2.618	34.25	88
1.782	51.27	27
2.986	29.92	26
4.244	20.93	23
2.879	31.06	22
2.014	45.00	21
2.008	45.15	19
2.850	31.39	19
1.696	54.06	17

11.
For KCd4Au, a GGA-PBE-relaxed structure gives the theoretical PXRD pattern in this record (CuKα).

Cell and atoms:
abc: 9.0558 9.0558 7.7139
angles: 90.00 90.00 149.97
Sites, in units of the cell vectors:
K (0.1259, 0.8741, 0.7500)
K (0.8741, 0.1259, 0.2500)
Cd (0.0669, 0.9331, 0.2500)
Cd (0.3213, 0.6787, 0.5552)
Cd (0.3213, 0.6787, 0.9448)
Cd (0.5000, 0.5000, 0.0000)
Cd (0.5000, 0.5000, 0.5000)
Cd (0.6787, 0.3213, 0.0552)
Cd (0.6787, 0.3213, 0.4448)
Cd (0.9331, 0.0669, 0.7500)
Au (0.2298, 0.7702, 0.2500)
Au (0.7702, 0.2298, 0.7500)

Main lines, by intensity (15 to 90 degrees two-theta):
d (Å)	two_theta	intensity
2.937	30.43	100
2.636	34.01	68
2.236	40.33	59
2.326	38.72	55
2.346	38.36	53
5.785	15.32	49
1.652	55.64	37
2.268	39.74	36
3.908	22.75	33
2.727	32.84	26

12.
For Nd2DyRh, a GGA-PBE-relaxed structure gives the theoretical PXRD pattern in this record (CuKα).

Cell and atoms:
abc: 6.7275 6.4480 11.5290
angles: 90.00 90.00 90.00
Sites, in units of the cell vectors:
Nd (0.0903, 0.2433, 0.0869)
Nd (0.0903, 0.2567, 0.4131)
Nd (0.4097, 0.7433, 0.4131)
Nd (0.4097, 0.7567, 0.0869)
Nd (0.5903, 0.2433, 0.9131)
Nd (0.5903, 0.2567, 0.5869)
Nd (0.9097, 0.7433, 0.5869)
Nd (0.9097, 0.7567, 0.9131)
Dy (0.0716, 0.2500, 0.7500)
Dy (0.4284, 0.7500, 0.7500)
Dy (0.5716, 0.2500, 0.2500)
Dy (0.9284, 0.7500, 0.2500)
Rh (0.2500, 0.0000, 0.5900)
Rh (0.2500, 0.5000, 0.9100)
Rh (0.7500, 0.0000, 0.4100)
Rh (0.7500, 0.5000, 0.0900)

Main lines, by intensity (15 to 90 degrees two-theta):
d (Å)	two_theta	intensity
2.964	30.16	100
2.982	29.96	51
2.319	38.84	37
1.937	46.91	29
3.224	27.67	24
1.807	50.51	24
2.328	38.69	18
1.615	57.01	16
1.921	47.31	14
1.660	55.33	14